Entry 1:
The following is a simulated X-ray powder pattern of Ba3Pu2N6. It was derived from the GGA-PBE geometry in Alexandria, using CuKα.

The 10 most intense peaks (2θ = 10–90°), most intense first:
28.81°, d 3.099, intensity 100
29.21°, d 3.057, intensity 52
51.54°, d 1.773, intensity 41
41.78°, d 2.162, intensity 25
50.80°, d 1.797, intensity 17
59.68°, d 1.549, intensity 12
15.96°, d 5.555, intensity 11
83.50°, d 1.158, intensity 11
40.60°, d 2.222, intensity 10
68.64°, d 1.367, intensity 10

Crystal structure
Unit cell a=11.5223 b=11.5223 c=11.5223 alpha=158.37 beta=158.37 gamma=30.78
Element x y z (fractional)
Ba1 0.0000 0.0000 0.0000
Ba2 0.1852 0.1852 0.0000
Ba3 0.8148 0.8148 0.0000
Pu1 0.4046 0.4046 0.0000
Pu2 0.5954 0.5954 0.0000
N1 0.0914 0.5914 0.5000
N2 0.3155 0.3155 0.0000
N3 0.4086 0.9086 0.5000
N4 0.5914 0.0914 0.5000
N5 0.6845 0.6845 0.0000
N6 0.9086 0.4086 0.5000

---

Entry 2:
The following is a simulated X-ray powder pattern of BaPu2N4. It was derived from the GGA-PBE geometry in Alexandria, using CuKα.

The 10 most intense peaks (2θ = 10–90°), most intense first:
28.63°, d 3.118, intensity 100
31.03°, d 2.882, intensity 41
31.22°, d 2.865, intensity 37
27.68°, d 3.223, intensity 34
38.33°, d 2.349, intensity 33
49.00°, d 1.859, intensity 33
60.36°, d 1.533, intensity 27
34.64°, d 2.589, intensity 24
35.59°, d 2.522, intensity 24
15.90°, d 5.575, intensity 22

Crystal structure
Unit cell a=5.9948 b=5.9948 c=11.1504 alpha=90.00 beta=90.00 gamma=145.83
Element x y z (fractional)
Ba1 0.1079 0.8921 0.7500
Ba2 0.8921 0.1079 0.2500
Pu1 0.3648 0.6352 0.5680
Pu2 0.3648 0.6352 0.9320
Pu3 0.6352 0.3648 0.0680
Pu4 0.6352 0.3648 0.4320
N1 0.0000 0.0000 0.0000
N2 0.0000 0.0000 0.5000
N3 0.2615 0.7385 0.0889
N4 0.2615 0.7385 0.4111
N5 0.4225 0.5775 0.7500
N6 0.5775 0.4225 0.2500
N7 0.7385 0.2615 0.5889
N8 0.7385 0.2615 0.9111